No. 1
Structure and simulated X-ray powder pattern of Rb3DyEr3Se8 (a DFT-relaxed cell (GGA-PBE, Alexandria); Cu Kα (λ = 1.5418 Å)).

Most intense lines, 5 to 70 degrees two-theta, sorted by position:
- 2θ 10.81, I 55
- 2θ 28.83, I 100
- 2θ 35.80, I 19
- 2θ 38.60, I 34
- 2θ 43.73, I 35
- 2θ 45.18, I 10
- 2θ 48.00, I 11
- 2θ 53.24, I 12
- 2θ 59.73, I 9
- 2θ 63.96, I 9

Cell and atoms:
a b c (Å): 8.282 8.282 9.485
angles (deg): 115.93 115.93 59.97
Element x y z (fractional)
Rb (0.000, 0.000, 0.000)
Rb (0.000, 0.500, 0.000)
Rb (0.500, 0.000, 0.000)
Dy (0.000, 0.000, 0.500)
Er (0.000, 0.500, 0.500)
Er (0.500, 0.000, 0.500)
Er (0.500, 0.500, 0.500)
Se (0.232, 0.232, 0.693)
Se (0.233, 0.728, 0.693)
Se (0.269, 0.269, 0.306)
Se (0.272, 0.767, 0.307)
Se (0.728, 0.233, 0.693)
Se (0.731, 0.731, 0.694)
Se (0.767, 0.272, 0.307)
Se (0.768, 0.768, 0.307)


No. 2
Structure and simulated X-ray powder pattern of DyEr3Rh4 (a DFT-relaxed cell (GGA-PBE, Alexandria); Cu Kα (λ = 1.5418 Å)).

Most intense lines, 5 to 70 degrees two-theta, sorted by position:
- 2θ 26.01, I 6
- 2θ 26.58, I 3
- 2θ 37.12, I 52
- 2θ 37.53, I 100
- 2θ 46.24, I 3
- 2θ 53.51, I 18
- 2θ 54.74, I 8
- 2θ 60.43, I 1
- 2θ 67.19, I 36
- 2θ 68.00, I 17

Cell and atoms:
a b c (Å): 4.844 4.844 6.707
angles (deg): 90.00 90.00 90.00
Element x y z (fractional)
Dy (0.000, 0.000, 0.000)
Er (0.000, 0.000, 0.500)
Er (0.500, 0.500, 0.000)
Er (0.500, 0.500, 0.500)
Rh (0.000, 0.500, 0.251)
Rh (0.000, 0.500, 0.749)
Rh (0.500, 0.000, 0.251)
Rh (0.500, 0.000, 0.749)


No. 3
Structure and simulated X-ray powder pattern of DyErRuRh (a DFT-relaxed cell (GGA-PBE, Alexandria); Cu Kα (λ = 1.5418 Å)).

Most intense lines, 5 to 70 degrees two-theta, sorted by position:
- 2θ 26.25, I 6
- 2θ 37.47, I 100
- 2θ 46.33, I 2
- 2θ 53.99, I 12
- 2θ 54.11, I 6
- 2θ 61.01, I 2
- 2θ 61.10, I 1
- 2θ 67.59, I 29
- 2θ 67.67, I 6

Cell and atoms:
a b c (Å): 3.390 4.801 4.807
angles (deg): 90.00 90.00 90.00
Element x y z (fractional)
Dy (0.000, 0.000, 0.000)
Er (0.000, 0.500, 0.500)
Ru (0.500, 0.500, 0.000)
Rh (0.500, 0.000, 0.500)


No. 4
Structure and simulated X-ray powder pattern of Dy2ErTmRh4 (a DFT-relaxed cell (GGA-PBE, Alexandria); Cu Kα (λ = 1.5418 Å)).

Most intense lines, 5 to 70 degrees two-theta, sorted by position:
- 2θ 26.17, I 6
- 2θ 37.34, I 100
- 2θ 46.17, I 2
- 2θ 53.84, I 17
- 2θ 60.82, I 2
- 2θ 67.35, I 35

Cell and atoms:
a b c (Å): 8.345 8.345 8.345
angles (deg): 33.54 33.54 33.54
Element x y z (fractional)
Dy (0.250, 0.250, 0.250)
Dy (0.750, 0.750, 0.750)
Er (0.000, 0.000, 0.000)
Tm (0.500, 0.500, 0.500)
Rh (0.125, 0.125, 0.125)
Rh (0.375, 0.375, 0.375)
Rh (0.625, 0.625, 0.625)
Rh (0.875, 0.875, 0.875)


No. 5
Structure and simulated X-ray powder pattern of Dy2ErRu (a DFT-relaxed cell (GGA-PBE, Alexandria); Cu Kα (λ = 1.5418 Å)).

Most intense lines, 5 to 70 degrees two-theta, sorted by position:
- 2θ 29.97, I 56
- 2θ 30.96, I 57
- 2θ 31.38, I 72
- 2θ 32.51, I 90
- 2θ 32.61, I 100
- 2θ 34.56, I 100
- 2θ 34.92, I 65
- 2θ 39.78, I 37
- 2θ 49.41, I 40
- 2θ 56.58, I 38

Cell and atoms:
a b c (Å): 7.287 9.155 6.291
angles (deg): 90.00 90.00 90.00
Element x y z (fractional)
Dy (0.177, 0.064, 0.169)
Dy (0.177, 0.436, 0.169)
Dy (0.323, 0.564, 0.669)
Dy (0.323, 0.936, 0.669)
Dy (0.677, 0.064, 0.331)
Dy (0.677, 0.436, 0.331)
Dy (0.823, 0.564, 0.831)
Dy (0.823, 0.936, 0.831)
Er (0.041, 0.250, 0.634)
Er (0.459, 0.750, 0.134)
Er (0.541, 0.250, 0.866)
Er (0.959, 0.750, 0.366)
Ru (0.115, 0.750, 0.963)
Ru (0.385, 0.250, 0.463)
Ru (0.615, 0.750, 0.537)
Ru (0.885, 0.250, 0.037)


No. 6
Structure and simulated X-ray powder pattern of Dy3ErS6 (a DFT-relaxed cell (GGA-PBE, Alexandria); Cu Kα (λ = 1.5418 Å)).

Most intense lines, 5 to 70 degrees two-theta, sorted by position:
- 2θ 19.57, I 50
- 2θ 22.19, I 36
- 2θ 24.65, I 100
- 2θ 25.05, I 34
- 2θ 27.18, I 75
- 2θ 35.22, I 40
- 2θ 35.65, I 60
- 2θ 41.77, I 55
- 2θ 42.90, I 29
- 2θ 46.52, I 22

Cell and atoms:
a b c (Å): 8.014 8.014 8.014
angles (deg): 91.12 91.12 91.12
Element x y z (fractional)
Dy (0.068, 0.577, 0.748)
Dy (0.252, 0.932, 0.423)
Dy (0.423, 0.252, 0.932)
Dy (0.577, 0.748, 0.068)
Dy (0.748, 0.068, 0.577)
Dy (0.932, 0.423, 0.252)
Er (0.000, 0.000, 0.000)
Er (0.500, 0.500, 0.500)
S (0.037, 0.906, 0.682)
S (0.094, 0.318, 0.963)
S (0.186, 0.590, 0.419)
S (0.318, 0.963, 0.094)
S (0.410, 0.581, 0.814)
S (0.419, 0.186, 0.590)
S (0.581, 0.814, 0.410)
S (0.590, 0.419, 0.186)
S (0.682, 0.037, 0.906)
S (0.814, 0.410, 0.581)
S (0.906, 0.682, 0.037)
S (0.963, 0.094, 0.318)


No. 7
Structure and simulated X-ray powder pattern of Dy2Er3S4 (a DFT-relaxed cell (GGA-PBE, Alexandria); Cu Kα (λ = 1.5418 Å)).

Most intense lines, 5 to 70 degrees two-theta, sorted by position:
- 2θ 27.45, I 19
- 2θ 28.22, I 25
- 2θ 29.18, I 48
- 2θ 31.86, I 100
- 2θ 43.87, I 21
- 2θ 47.44, I 38
- 2θ 48.77, I 14
- 2θ 54.00, I 15
- 2θ 56.12, I 23
- 2θ 58.30, I 23

Cell and atoms:
a b c (Å): 3.833 3.833 15.809
angles (deg): 90.00 90.00 120.00
Element x y z (fractional)
Dy (0.333, 0.667, 0.206)
Dy (0.667, 0.333, 0.794)
Er (0.000, 0.000, 0.000)
Er (0.333, 0.667, 0.589)
Er (0.667, 0.333, 0.411)
S (0.000, 0.000, 0.308)
S (0.000, 0.000, 0.692)
S (0.333, 0.667, 0.899)
S (0.667, 0.333, 0.101)


No. 8
Structure and simulated X-ray powder pattern of Dy3Er2S6 (a DFT-relaxed cell (GGA-PBE, Alexandria); Cu Kα (λ = 1.5418 Å)).

Most intense lines, 5 to 70 degrees two-theta, sorted by position:
- 2θ 28.14, I 55
- 2θ 28.28, I 17
- 2θ 32.65, I 100
- 2θ 46.71, I 24
- 2θ 46.86, I 24
- 2θ 46.96, I 24
- 2θ 55.53, I 11
- 2θ 55.67, I 15
- 2θ 58.26, I 12
- 2θ 68.41, I 11

Cell and atoms:
a b c (Å): 6.723 6.723 6.698
angles (deg): 99.65 99.65 119.81
Element x y z (fractional)
Dy (0.000, 0.000, 0.000)
Dy (0.337, 0.663, 0.000)
Dy (0.663, 0.337, 0.000)
Er (0.166, 0.834, 0.500)
Er (0.834, 0.166, 0.500)
S (0.083, 0.417, 0.252)
S (0.248, 0.248, 0.743)
S (0.417, 0.083, 0.252)
S (0.583, 0.917, 0.748)
S (0.752, 0.752, 0.257)
S (0.917, 0.583, 0.748)


No. 9
Structure and simulated X-ray powder pattern of Dy3Er2S4 (a DFT-relaxed cell (GGA-PBE, Alexandria); Cu Kα (λ = 1.5418 Å)).

Most intense lines, 5 to 70 degrees two-theta, sorted by position:
- 2θ 27.44, I 18
- 2θ 28.09, I 26
- 2θ 29.15, I 49
- 2θ 31.81, I 100
- 2θ 43.73, I 20
- 2θ 47.42, I 38
- 2θ 48.60, I 16
- 2θ 53.80, I 15
- 2θ 56.02, I 24
- 2θ 58.23, I 18

Cell and atoms:
a b c (Å): 3.834 3.834 15.883
angles (deg): 90.00 90.00 120.00
Element x y z (fractional)
Dy (0.000, 0.000, 0.000)
Dy (0.333, 0.667, 0.590)
Dy (0.667, 0.333, 0.410)
Er (0.333, 0.667, 0.205)
Er (0.667, 0.333, 0.795)
S (0.000, 0.000, 0.304)
S (0.000, 0.000, 0.696)
S (0.333, 0.667, 0.896)
S (0.667, 0.333, 0.104)


No. 10
Structure and simulated X-ray powder pattern of DyEr3S3 (a DFT-relaxed cell (GGA-PBE, Alexandria); Cu Kα (λ = 1.5418 Å)).

Most intense lines, 5 to 70 degrees two-theta, sorted by position:
- 2θ 28.49, I 100
- 2θ 32.95, I 64
- 2θ 33.16, I 32
- 2θ 47.29, I 23
- 2θ 47.44, I 46
- 2θ 56.14, I 31
- 2θ 56.41, I 16
- 2θ 58.97, I 24
- 2θ 69.10, I 7
- 2θ 69.59, I 4

Cell and atoms:
a b c (Å): 10.874 10.874 5.404
angles (deg): 90.00 90.00 90.00
Element x y z (fractional)
Dy (0.121, 0.121, 0.000)
Dy (0.379, 0.621, 0.500)
Dy (0.621, 0.379, 0.500)
Dy (0.879, 0.879, 0.000)
Er (0.120, 0.627, 0.000)
Er (0.127, 0.380, 0.500)
Er (0.127, 0.873, 0.500)
Er (0.373, 0.373, 0.000)
Er (0.373, 0.880, 0.000)
Er (0.380, 0.127, 0.500)
Er (0.620, 0.873, 0.500)
Er (0.627, 0.120, 0.000)
Er (0.627, 0.627, 0.000)
Er (0.873, 0.127, 0.500)
Er (0.873, 0.620, 0.500)
Er (0.880, 0.373, 0.000)
S (0.125, 0.626, 0.500)
S (0.126, 0.375, 0.000)
S (0.127, 0.873, 0.000)
S (0.373, 0.373, 0.500)
S (0.374, 0.875, 0.500)
S (0.375, 0.126, 0.000)
S (0.625, 0.874, 0.000)
S (0.626, 0.125, 0.500)
S (0.627, 0.627, 0.500)
S (0.873, 0.127, 0.000)
S (0.874, 0.625, 0.000)
S (0.875, 0.374, 0.500)


No. 11
Structure and simulated X-ray powder pattern of Dy2Er2Se2S3 (a DFT-relaxed cell (GGA-PBE, Alexandria); Cu Kα (λ = 1.5418 Å)).

Most intense lines, 5 to 70 degrees two-theta, sorted by position:
- 2θ 24.45, I 23
- 2θ 26.74, I 88
- 2θ 33.81, I 100
- 2θ 34.33, I 35
- 2θ 35.15, I 57
- 2θ 42.16, I 21
- 2θ 48.56, I 36
- 2θ 49.57, I 43
- 2θ 56.16, I 16
- 2θ 56.30, I 24

Cell and atoms:
a b c (Å): 8.191 8.191 8.191
angles (deg): 142.23 142.23 54.49
Element x y z (fractional)
Dy (0.202, 0.202, 0.000)
Dy (0.798, 0.798, 0.000)
Er (0.000, 0.500, 0.500)
Er (0.500, 0.000, 0.500)
Se (0.397, 0.397, 0.000)
Se (0.603, 0.603, 0.000)
S (0.000, 0.000, 0.000)
S (0.250, 0.750, 0.500)
S (0.750, 0.250, 0.500)


No. 12
Structure and simulated X-ray powder pattern of SmDyEr4S8 (a DFT-relaxed cell (GGA-PBE, Alexandria); Cu Kα (λ = 1.5418 Å)).

Most intense lines, 5 to 70 degrees two-theta, sorted by position:
- 2θ 22.15, I 26
- 2θ 26.03, I 100
- 2θ 27.21, I 15
- 2θ 31.52, I 19
- 2θ 41.31, I 29
- 2θ 41.35, I 15
- 2θ 45.18, I 57
- 2θ 52.92, I 11
- 2θ 62.81, I 10
- 2θ 62.93, I 15

Cell and atoms:
a b c (Å): 8.035 8.035 8.035
angles (deg): 59.87 59.87 59.87
Element x y z (fractional)
Sm (0.000, 0.000, 0.000)
Dy (0.625, 0.625, 0.625)
Er (0.127, 0.625, 0.625)
Er (0.251, 0.251, 0.251)
Er (0.625, 0.127, 0.625)
Er (0.625, 0.625, 0.127)
S (0.381, 0.381, 0.855)
S (0.381, 0.855, 0.381)
S (0.383, 0.383, 0.383)
S (0.406, 0.867, 0.867)
S (0.855, 0.381, 0.381)
S (0.865, 0.865, 0.865)
S (0.867, 0.406, 0.867)
S (0.867, 0.867, 0.406)